The following is a simulated powder X-ray diffraction pattern of Pm4Sm5In. It was derived from a PBE-relaxed structure, using a wavelength of 1.5418 Å.
No peak broadening, texture or thermal motion is included.

Cell and atoms:
```
data_Pm4Sm5In
_space_group_name_H-M_alt 'I 4 m m'
_space_group_IT_number 107
_space_group_name_Hall 'I 4 -2'
_cell_length_a 10.738
_cell_length_b 10.738
_cell_length_c 5.987
_cell_angle_alpha 90.00
_cell_angle_beta 90.00
_cell_angle_gamma 90.00
loop_
_atom_site_label
_atom_site_type_symbol
_atom_site_fract_x
_atom_site_fract_y
_atom_site_fract_z
Pm1 Pm 0.000 0.312 0.000
Sm1 Sm 0.000 0.000 0.792
Sm2 Sm 0.186 0.186 0.506
In1 In 0.000 0.000 0.273
```

Most intense lines, 10° ≤ 2θ ≤ 80°, low angle first:
29.07 deg, intensity 100
29.85 deg, intensity 16
34.30 deg, intensity 17
35.47 deg, intensity 40
52.50 deg, intensity 17
59.80 deg, intensity 17



The following is a simulated powder X-ray diffraction pattern of HfI3Cl. It was derived from a PBE-relaxed structure, using a wavelength of 1.5418 Å.
No peak broadening, texture or thermal motion is included.

Cell and atoms:
```
data_HfI3Cl
_space_group_name_H-M_alt 'I m m m'
_space_group_IT_number 71
_space_group_name_Hall '-I 2 2'
_cell_length_a 8.253
_cell_length_b 9.892
_cell_length_c 10.803
_cell_angle_alpha 90.00
_cell_angle_beta 90.00
_cell_angle_gamma 90.00
loop_
_atom_site_label
_atom_site_type_symbol
_atom_site_fract_x
_atom_site_fract_y
_atom_site_fract_z
Hf1 Hf 0.000 0.000 0.000
Hf2 Hf 0.000 0.500 0.500
I1 I 0.000 0.221 0.500
I2 I 0.250 0.000 0.192
Cl1 Cl 0.000 0.239 0.000
```

Most intense lines, 10° ≤ 2θ ≤ 80°, low angle first:
12.13 deg, intensity 100
17.93 deg, intensity 26
27.20 deg, intensity 71
34.27 deg, intensity 40
43.18 deg, intensity 31
45.97 deg, intensity 29



The following is a simulated powder X-ray diffraction pattern of PuScCd. It was derived from a PBE-relaxed structure, using a wavelength of 1.5418 Å.
No peak broadening, texture or thermal motion is included.

Cell and atoms:
```
data_PuScCd
_space_group_name_H-M_alt 'P 3 m 1'
_space_group_IT_number 156
_cell_length_a 5.2378
_cell_length_b 5.2378
_cell_length_c 2.9422
_cell_angle_alpha 90.00
_cell_angle_beta 90.00
_cell_angle_gamma 120.00
loop_
_space_group_symop_operation_xyz
'x,y,z'
'-y,x-y,z'
'-x+y,-x,z'
'-y,-x,z'
'-x+y,y,z'
'x,x-y,z'
loop_
_atom_site_label
_atom_site_type_symbol
_atom_site_fract_x
_atom_site_fract_y
_atom_site_fract_z
Pu1 Pu 0.0000 0.0000 0.0000
Sc1 Sc 0.3333 0.6667 0.0017
Cd1 Cd 0.6667 0.3333 0.5004
```

Most intense lines, 10° ≤ 2θ ≤ 80°, low angle first:
19.57 deg, intensity 67
34.24 deg, intensity 100
36.40 deg, intensity 100
50.83 deg, intensity 39
62.72 deg, intensity 41
73.89 deg, intensity 21



The following is a simulated powder X-ray diffraction pattern of Ti6Bi3B. It was derived from a PBE-relaxed structure, using a wavelength of 1.5418 Å.
No peak broadening, texture or thermal motion is included.

Cell and atoms:
```
data_Ti6Bi3B
_space_group_name_H-M_alt 'C m c m'
_space_group_IT_number 63
_space_group_name_Hall '-C 2c 2'
_cell_length_a 12.303
_cell_length_b 12.848
_cell_length_c 4.738
_cell_angle_alpha 90.00
_cell_angle_beta 90.00
_cell_angle_gamma 90.00
loop_
_atom_site_label
_atom_site_type_symbol
_atom_site_fract_x
_atom_site_fract_y
_atom_site_fract_z
Ti1 Ti 0.000 0.000 0.000
Ti2 Ti 0.000 0.220 0.250
Ti3 Ti 0.139 0.412 0.250
Ti4 Ti 0.166 0.220 0.750
Bi1 Bi 0.000 0.385 0.750
Bi2 Bi 0.206 0.094 0.250
B1 B 0.000 0.156 0.750
```

Most intense lines, 10° ≤ 2θ ≤ 80°, low angle first:
22.76 deg, intensity 26
23.33 deg, intensity 67
35.75 deg, intensity 100
37.57 deg, intensity 43
37.98 deg, intensity 29
44.76 deg, intensity 23



The following is a simulated powder X-ray diffraction pattern of Tb6Mg2Hg. It was derived from a PBE-relaxed structure, using a wavelength of 1.5418 Å.
No peak broadening, texture or thermal motion is included.

Cell and atoms:
```
data_Tb6Mg2Hg
_space_group_name_H-M_alt 'P 1 21/c 1'
_space_group_IT_number 14
_cell_length_a 6.294
_cell_length_b 9.482
_cell_length_c 10.177
_cell_angle_alpha 90.00
_cell_angle_beta 117.10
_cell_angle_gamma 90.00
loop_
_space_group_symop_operation_xyz
'x,y,z'
'-x,-y,-z'
'-x,y+1/2,-z+1/2'
'x,-y+1/2,z+1/2'
loop_
_atom_site_label
_atom_site_type_symbol
_atom_site_fract_x
_atom_site_fract_y
_atom_site_fract_z
Tb1 Tb 0.065 0.168 0.467
Tb2 Tb 0.356 0.693 0.433
Tb3 Tb 0.430 0.039 0.309
Mg1 Mg 0.140 0.101 0.776
Hg1 Hg 0.000 0.000 0.000
```

Most intense lines, 10° ≤ 2θ ≤ 80°, low angle first:
19.60 deg, intensity 36
26.62 deg, intensity 36
30.36 deg, intensity 49
30.51 deg, intensity 52
31.79 deg, intensity 100
33.59 deg, intensity 39



The following is a simulated powder X-ray diffraction pattern of ThTe2. It was derived from a PBE-relaxed structure, using a wavelength of 1.5418 Å.
No peak broadening, texture or thermal motion is included.

Cell and atoms:
```
data_ThTe2
_space_group_name_H-M_alt 'P 42/m n m'
_space_group_IT_number 136
_space_group_name_Hall '-P 4n 2n'
_cell_length_a 7.382
_cell_length_b 7.382
_cell_length_c 4.667
_cell_angle_alpha 90.00
_cell_angle_beta 90.00
_cell_angle_gamma 90.00
loop_
_atom_site_label
_atom_site_type_symbol
_atom_site_fract_x
_atom_site_fract_y
_atom_site_fract_z
Th1 Th 0.000 0.000 0.000
Te1 Te 0.198 0.198 0.500
```

Most intense lines, 10° ≤ 2θ ≤ 80°, low angle first:
16.99 deg, intensity 95
25.60 deg, intensity 60
33.24 deg, intensity 100
34.36 deg, intensity 40
41.49 deg, intensity 61
52.61 deg, intensity 37



The following is a simulated powder X-ray diffraction pattern of CdHgPb. It was derived from a PBE-relaxed structure, using a wavelength of 1.5418 Å.
No peak broadening, texture or thermal motion is included.

Cell and atoms:
```
data_CdHgPb
_space_group_name_H-M_alt 'C 1 m 1'
_space_group_IT_number 8
_cell_length_a 6.187
_cell_length_b 6.187
_cell_length_c 8.418
_cell_angle_alpha 90.00
_cell_angle_beta 90.01
_cell_angle_gamma 90.00
loop_
_space_group_symop_operation_xyz
'x,y,z'
'x,-y,z'
'x+1/2,y+1/2,z'
'x+1/2,-y+1/2,z'
loop_
_atom_site_label
_atom_site_type_symbol
_atom_site_fract_x
_atom_site_fract_y
_atom_site_fract_z
Cd1 Cd 0.000 0.250 0.000
Hg1 Hg 0.250 0.000 0.256
Hg2 Hg 0.251 0.500 0.744
Pb1 Pb 0.250 0.500 0.369
Pb2 Pb 0.251 0.000 0.631
```

Most intense lines, 10° ≤ 2θ ≤ 80°, low angle first:
28.86 deg, intensity 68
29.45 deg, intensity 54
30.79 deg, intensity 95
36.03 deg, intensity 100
38.10 deg, intensity 83
41.27 deg, intensity 85



The following is a simulated powder X-ray diffraction pattern of Pr3DyPt2. It was derived from a PBE-relaxed structure, using a wavelength of 1.5418 Å.
No peak broadening, texture or thermal motion is included.

Cell and atoms:
```
data_Pr3DyPt2
_space_group_name_H-M_alt 'I m m m'
_space_group_IT_number 71
_space_group_name_Hall '-I 2 2'
_cell_length_a 4.706
_cell_length_b 4.788
_cell_length_c 15.011
_cell_angle_alpha 90.00
_cell_angle_beta 90.00
_cell_angle_gamma 90.00
loop_
_atom_site_label
_atom_site_type_symbol
_atom_site_fract_x
_atom_site_fract_y
_atom_site_fract_z
Pr1 Pr 0.000 0.000 0.000
Pr2 Pr 0.000 0.500 0.313
Dy1 Dy 0.000 0.000 0.500
Pt1 Pt 0.000 0.500 0.125
```

Most intense lines, 10° ≤ 2θ ≤ 80°, low angle first:
26.56 deg, intensity 27
29.15 deg, intensity 81
35.47 deg, intensity 29
35.90 deg, intensity 100
37.57 deg, intensity 39
38.25 deg, intensity 37



The following is a simulated powder X-ray diffraction pattern of Tb12HoEr2. It was derived from a PBE-relaxed structure, using a wavelength of 1.5418 Å.
No peak broadening, texture or thermal motion is included.

Cell and atoms:
```
data_Tb12HoEr2
_space_group_name_H-M_alt 'C 1 2/m 1'
_space_group_IT_number 12
_cell_length_a 6.988
_cell_length_b 11.284
_cell_length_c 24.428
_cell_angle_alpha 90.00
_cell_angle_beta 96.74
_cell_angle_gamma 90.00
loop_
_space_group_symop_operation_xyz
'x,y,z'
'-x,-y,-z'
'-x,y,-z'
'x,-y,z'
'x+1/2,y+1/2,z'
'-x+1/2,-y+1/2,-z'
'-x+1/2,y+1/2,-z'
'x+1/2,-y+1/2,z'
loop_
_atom_site_label
_atom_site_type_symbol
_atom_site_fract_x
_atom_site_fract_y
_atom_site_fract_z
Tb1 Tb 0.024 0.220 0.430
Tb2 Tb 0.103 0.238 0.944
Tb3 Tb 0.138 0.500 0.619
Tb4 Tb 0.145 0.500 0.077
Tb5 Tb 0.167 0.000 0.071
Tb6 Tb 0.167 0.000 0.661
Tb7 Tb 0.183 0.219 0.300
Tb8 Tb 0.194 0.262 0.171
Ho1 Ho 0.243 0.500 0.484
Er1 Er 0.033 0.000 0.794
Er2 Er 0.044 0.500 0.773
```

Most intense lines, 10° ≤ 2θ ≤ 80°, low angle first:
30.27 deg, intensity 50
30.84 deg, intensity 26
31.72 deg, intensity 62
31.90 deg, intensity 100
33.53 deg, intensity 26
33.90 deg, intensity 22



The following is a simulated powder X-ray diffraction pattern of Na4B5C3. It was derived from a PBE-relaxed structure, using a wavelength of 1.5418 Å.
No peak broadening, texture or thermal motion is included.

Cell and atoms:
```
data_Na4B5C3
_space_group_name_H-M_alt 'P m c 21'
_space_group_IT_number 26
_cell_length_a 8.522
_cell_length_b 5.784
_cell_length_c 4.927
_cell_angle_alpha 90.00
_cell_angle_beta 90.00
_cell_angle_gamma 90.00
loop_
_space_group_symop_operation_xyz
'x,y,z'
'-x,-y,z+1/2'
'-x,y,z'
'x,-y,z+1/2'
loop_
_atom_site_label
_atom_site_type_symbol
_atom_site_fract_x
_atom_site_fract_y
_atom_site_fract_z
Na1 Na 0.247 0.125 0.000
Na2 Na 0.248 0.375 0.499
B1 B 0.000 0.125 0.665
B2 B 0.000 0.375 0.165
B3 B 0.500 0.123 0.680
B4 B 0.500 0.140 0.308
B5 B 0.500 0.384 0.835
C1 C 0.000 0.125 0.332
C2 C 0.000 0.375 0.832
C3 C 0.500 0.381 0.172
```

Most intense lines, 10° ≤ 2θ ≤ 80°, low angle first:
36.01 deg, intensity 20
41.98 deg, intensity 100
42.40 deg, intensity 91
56.84 deg, intensity 11
65.35 deg, intensity 17
77.31 deg, intensity 12



The following is a simulated powder X-ray diffraction pattern of BaNdCuBO5. It was derived from a PBE-relaxed structure, using a wavelength of 1.5418 Å.
No peak broadening, texture or thermal motion is included.

Cell and atoms:
```
data_BaNdCuBO5
_space_group_name_H-M_alt 'P 4 b m'
_space_group_IT_number 100
_cell_length_a 5.556
_cell_length_b 5.556
_cell_length_c 7.658
_cell_angle_alpha 90.00
_cell_angle_beta 90.00
_cell_angle_gamma 90.00
loop_
_space_group_symop_operation_xyz
'x,y,z'
'-y,x,z'
'-x,-y,z'
'y,-x,z'
'-x+1/2,y+1/2,z'
'y+1/2,x+1/2,z'
'x+1/2,-y+1/2,z'
'-y+1/2,-x+1/2,z'
loop_
_atom_site_label
_atom_site_type_symbol
_atom_site_fract_x
_atom_site_fract_y
_atom_site_fract_z
Ba1 Ba 0.000 0.000 0.000
Nd1 Nd 0.000 0.000 0.492
Cu1 Cu 0.000 0.500 0.270
B1 B 0.000 0.500 0.751
O1 O 0.000 0.500 0.934
O2 O 0.155 0.345 0.664
O3 O 0.248 0.748 0.287
```

Most intense lines, 10° ≤ 2θ ≤ 80°, low angle first:
22.63 deg, intensity 30
32.22 deg, intensity 46
32.66 deg, intensity 100
40.10 deg, intensity 30
46.22 deg, intensity 26
57.74 deg, intensity 36



The following is a simulated powder X-ray diffraction pattern of Er6In3Os. It was derived from a PBE-relaxed structure, using a wavelength of 1.5418 Å.
No peak broadening, texture or thermal motion is included.

Cell and atoms:
```
data_Er6In3Os
_space_group_name_H-M_alt 'P n n m'
_space_group_IT_number 58
_cell_length_a 9.006
_cell_length_b 11.659
_cell_length_c 5.069
_cell_angle_alpha 90.00
_cell_angle_beta 90.00
_cell_angle_gamma 90.00
loop_
_space_group_symop_operation_xyz
'x,y,z'
'-x,-y,-z'
'-x,-y,z'
'x,y,-z'
'x+1/2,-y+1/2,-z+1/2'
'-x+1/2,y+1/2,z+1/2'
'-x+1/2,y+1/2,-z+1/2'
'x+1/2,-y+1/2,z+1/2'
loop_
_atom_site_label
_atom_site_type_symbol
_atom_site_fract_x
_atom_site_fract_y
_atom_site_fract_z
Er1 Er 0.020 0.235 0.000
Er2 Er 0.152 0.079 0.500
Er3 Er 0.200 0.409 0.500
In1 In 0.000 0.500 0.000
In2 In 0.147 0.709 0.500
Os1 Os 0.000 0.000 0.000
```

Most intense lines, 10° ≤ 2θ ≤ 80°, low angle first:
30.38 deg, intensity 24
30.64 deg, intensity 89
34.73 deg, intensity 100
35.42 deg, intensity 55
36.73 deg, intensity 27
36.95 deg, intensity 39